Calculated X-ray diffraction stick pattern
Compound: LiAcCoH6
Radiation: λ = 1.5418 Å (Cu Kα)
Structure: the PBE geometry in Alexandria

Main lines, in order of rising 2θ (2θ from 10° to 90°):
h k l  d_spacing  2theta  I (rel.)
0 0 1  4.470  19.86  15
1 0 0  4.012  22.16  55
1 0 1  2.986  29.92  100
1 1 0  2.316  38.88  30
1 1 1  2.057  44.03  13
1 0 2  1.953  46.51  17
2 0 1  1.830  49.82  25
1 1 2  1.609  57.28  20
2 1 1  1.436  64.93  22
1 0 3  1.397  66.99  10

Cell: 4.6330 4.6330 4.4705 Å, 90.00 90.00 120.00°
Element x y z (fractional)
Li1 0.0000 0.0000 0.0000
Ac1 0.6667 0.3333 0.5000
Co1 0.3333 0.6667 0.0000
H1 0.1859 0.3718 0.2339
H2 0.1859 0.3718 0.7661
H3 0.1859 0.8141 0.2339
H4 0.1859 0.8141 0.7661
H5 0.6282 0.8141 0.2339
H6 0.6282 0.8141 0.7661

***

Calculated X-ray diffraction stick pattern
Compound: AcMgCoH6
Radiation: λ = 1.5418 Å (Cu Kα)
Structure: the PBE geometry in Alexandria

Main lines, in order of rising 2θ (2θ from 10° to 90°):
h k l  d_spacing  2theta  I (rel.)
0 0 1  4.689  18.93  11
1 0 0  4.043  21.98  42
1 0 1  3.062  29.16  100
0 0 2  2.344  38.40  10
1 1 0  2.335  38.57  32
1 0 2  2.028  44.68  15
2 0 1  1.857  49.07  24
1 1 2  1.654  55.55  22
1 0 3  1.458  63.85  11
2 1 1  1.453  64.09  22

Cell: 4.6690 4.6690 4.6888 Å, 90.00 90.00 120.00°
Element x y z (fractional)
Ac1 0.0000 0.0000 0.0000
Mg1 0.3333 0.6667 0.5000
Co1 0.6667 0.3333 0.5000
H1 0.5242 0.0483 0.2560
H2 0.5242 0.0483 0.7440
H3 0.5242 0.4758 0.2560
H4 0.5242 0.4758 0.7440
H5 0.9517 0.4758 0.2560
H6 0.9517 0.4758 0.7440